Structure and computed powder diffractogram of Y3Zn2 (a structure optimized by DFT (GGA-PBE); copper Kα).
Kinematic intensities with the Lorentz-polarization factor, no thermal factor.

Structural model:
Lattice parameters (Å, degrees): 3.5817 3.5817 19.4490 90.00 90.00 90.00
Element x y z (fractional)
Y: 0.0000 0.0000 0.0000
Y: 0.0000 0.0000 0.1835
Y: 0.0000 0.0000 0.3666
Y: 0.0000 0.0000 0.6334
Y: 0.0000 0.0000 0.8165
Y: 0.5000 0.5000 0.5000
Zn: 0.5000 0.5000 0.0929
Zn: 0.5000 0.5000 0.2754
Zn: 0.5000 0.5000 0.7246
Zn: 0.5000 0.5000 0.9071

Principal peaks in the range 10 to 90 degrees two-theta, by angle:
| h k l | Position (°2θ) | I/Imax |
| --- | --- | --- |
| 1 0 4 | 31.0 | 13 |
| 1 0 5 | 34.0 | 100 |
| 1 1 0 | 35.4 | 68 |
| 1 0 6 | 37.4 | 30 |
| 2 0 0 | 51.0 | 23 |
| 2 1 5 | 62.7 | 32 |
| 1 1 11 | 64.2 | 13 |
| 2 1 6 | 64.9 | 11 |
| 2 0 11 | 75.6 | 8 |
| 3 1 0 | 85.8 | 10 |